# 1
For Sm2Be2Ge3, a PBE-relaxed structure gives the calculated X-ray powder pattern in this record (Cu Kα).
Kinematic intensities with the Lorentz-polarization factor, no thermal factor.

The 10 most intense peaks (10° ≤ 2θ ≤ 90°), in order of rising 2θ:
| h k l | d/Å | 2theta | intensity |
| --- | --- | --- | --- |
| 0 4 1 | 3.919 | 22.69 | 24 |
| 0 0 2 | 3.471 | 25.67 | 38 |
| 1 3 1 | 3.030 | 29.48 | 28 |
| 1 5 0 | 2.747 | 32.60 | 36 |
| 1 1 2 | 2.590 | 34.63 | 95 |
| 1 5 1 | 2.554 | 35.13 | 100 |
| 0 8 0 | 2.374 | 37.89 | 30 |
| 0 4 3 | 2.080 | 43.51 | 32 |
| 2 0 0 | 1.988 | 45.63 | 32 |
| 1 9 2 | 1.642 | 55.99 | 22 |

Atomic structure:
Unit cell a=3.977 b=18.994 c=6.942 alpha=90.00 beta=90.00 gamma=90.00
Space group Cmcm (No. 63)
Unique sites:
1 Sm 0.000 0.045 0.250 [4 per cell]
2 Sm 0.000 0.173 0.750 [4 per cell]
3 Be 0.000 0.337 0.599 [8 per cell]
4 Ge 0.000 0.205 0.250 [4 per cell]
5 Ge 0.000 0.435 0.072 [8 per cell]

# 2
For Li2CuP6H20C2N6O22, a PBE-relaxed structure gives the calculated X-ray powder pattern in this record (Cu Kα).
Kinematic intensities with the Lorentz-polarization factor, no thermal factor.

The 10 most intense peaks (10° ≤ 2θ ≤ 90°), in order of rising 2θ:
| h k l | d/Å | 2theta | intensity |
| --- | --- | --- | --- |
| 1 0 0 | 7.022 | 12.61 | 100 |
| 1 0 1 | 6.665 | 13.28 | 23 |
| 1 1 0 | 6.553 | 13.51 | 21 |
| 1 1 1 | 6.110 | 14.50 | 48 |
| 1 0 -1 | 4.804 | 18.47 | 53 |
| 0 2 -1 | 4.080 | 21.78 | 38 |
| 0 2 1 | 3.917 | 22.70 | 31 |
| 2 1 2 | 3.407 | 26.16 | 21 |
| 1 0 -2 | 3.293 | 27.08 | 38 |
| 2 -1 1 | 3.115 | 28.66 | 51 |

Atomic structure:
Unit cell a=7.782 b=9.389 c=9.398 alpha=87.05 beta=70.96 gamma=72.67
Space group P-1 (No. 2)
Unique sites:
1 Li 0.182 0.145 0.056 [2 per cell]
2 Cu 0.500 0.500 0.500 [1 per cell]
3 P 0.267 0.659 0.825 [2 per cell]
4 P 0.334 0.340 0.793 [2 per cell]
5 P 0.437 0.785 0.010 [2 per cell]
6 H 0.066 0.541 0.204 [2 per cell]
7 H 0.075 0.610 0.577 [2 per cell]
8 H 0.152 0.936 0.699 [2 per cell]
9 H 0.164 0.582 0.404 [2 per cell]
10 H 0.194 0.840 0.455 [2 per cell]
11 H 0.209 0.101 0.714 [2 per cell]
12 H 0.218 0.393 0.216 [2 per cell]
13 H 0.257 0.945 0.299 [2 per cell]
14 H 0.333 0.221 0.497 [2 per cell]
15 H 0.347 0.159 0.321 [2 per cell]
16 C 0.244 0.036 0.498 [2 per cell]
17 N 0.198 0.023 0.647 [2 per cell]
18 N 0.225 0.935 0.413 [2 per cell]
19 N 0.305 0.150 0.435 [2 per cell]
20 O 0.091 0.782 0.830 [2 per cell]
21 O 0.112 0.478 0.277 [2 per cell]
22 O 0.172 0.633 0.490 [2 per cell]
23 O 0.209 0.506 0.870 [2 per cell]
24 O 0.219 0.236 0.857 [2 per cell]
25 O 0.296 0.933 0.070 [2 per cell]
26 O 0.335 0.675 0.966 [2 per cell]
27 O 0.377 0.225 0.112 [2 per cell]
28 O 0.399 0.348 0.624 [2 per cell]
29 O 0.439 0.629 0.684 [2 per cell]
30 O 0.480 0.695 0.154 [2 per cell]

# 3
For Ac4CeSe7, a PBE-relaxed structure gives the calculated X-ray powder pattern in this record (Cu Kα).
Kinematic intensities with the Lorentz-polarization factor, no thermal factor.

The 10 most intense peaks (10° ≤ 2θ ≤ 90°), in order of rising 2θ:
| h k l | d/Å | 2theta | intensity |
| --- | --- | --- | --- |
| 2 0 2 | 4.135 | 21.49 | 100 |
| 2 0 -3 | 4.059 | 21.90 | 66 |
| 3 1 -1 | 3.224 | 27.67 | 45 |
| 3 1 0 | 3.181 | 28.05 | 45 |
| 3 1 -2 | 3.061 | 29.17 | 66 |
| 3 1 1 | 2.955 | 30.24 | 57 |
| 3 1 -3 | 2.771 | 32.31 | 30 |
| 1 1 4 | 2.389 | 37.65 | 56 |
| 6 0 1 | 2.201 | 41.00 | 40 |
| 0 2 0 | 2.164 | 41.73 | 80 |

Atomic structure:
Unit cell a=14.607 b=4.325 c=12.831 alpha=90.00 beta=105.37 gamma=90.00
Space group Cm (No. 8)
Unique sites:
1 Ac 0.000 0.000 0.000 [2 per cell]
2 Ac 0.091 0.500 0.381 [2 per cell]
3 Ac 0.196 0.000 0.770 [2 per cell]
4 Ac 0.392 0.500 0.568 [2 per cell]
5 Ce 0.274 0.500 0.148 [2 per cell]
6 Se 0.052 0.500 0.623 [2 per cell]
7 Se 0.128 0.500 0.928 [2 per cell]
8 Se 0.158 0.000 0.222 [2 per cell]
9 Se 0.231 0.000 0.524 [2 per cell]
10 Se 0.349 0.500 0.786 [2 per cell]
11 Se 0.374 0.000 0.063 [2 per cell]
12 Se 0.432 0.500 0.346 [2 per cell]

# 4
For Dy3Er6Pu, a PBE-relaxed structure gives the calculated X-ray powder pattern in this record (Cu Kα).
Kinematic intensities with the Lorentz-polarization factor, no thermal factor.

The 10 most intense peaks (10° ≤ 2θ ≤ 90°), in order of rising 2θ:
| h k l | d/Å | 2theta | intensity |
| --- | --- | --- | --- |
| 1 1 -1 | 3.087 | 28.93 | 24 |
| 1 -1 2 | 3.078 | 29.01 | 12 |
| 0 2 2 | 2.796 | 32.01 | 37 |
| 2 1 2 | 2.702 | 33.15 | 100 |
| 1 0 3 | 2.697 | 33.22 | 49 |
| 1 3 1 | 2.072 | 43.69 | 19 |
| 3 1 0 | 1.783 | 51.25 | 20 |
| 2 3 4 | 1.595 | 57.80 | 31 |
| 3 1 5 | 1.503 | 61.71 | 22 |
| 2 3 -1 | 1.485 | 62.54 | 12 |

Atomic structure:
Unit cell a=6.182 b=6.627 c=8.316 alpha=77.04 beta=68.21 gamma=89.92
Space group P1 (No. 1)
Unique sites:
1 Dy 0.000 0.000 0.000 [1 per cell]
2 Dy 0.211 0.400 0.595 [1 per cell]
3 Dy 0.770 0.691 0.803 [1 per cell]
4 Er 0.174 0.495 0.003 [1 per cell]
5 Er 0.374 0.903 0.596 [1 per cell]
6 Er 0.406 0.798 0.200 [1 per cell]
7 Er 0.605 0.194 0.803 [1 per cell]
8 Er 0.801 0.595 0.399 [1 per cell]
9 Er 0.975 0.099 0.397 [1 per cell]
10 Pu 0.572 0.298 0.199 [1 per cell]